The following is a computed powder XRD pattern of Pr6Pd5Pb. It was derived from a crystal structure in Alexandria, relaxed with GGA-PBE, using λ = 1.5418 Å (Cu Kα).
Intensities are scaled so that the largest is 100.

Largest 10 diffraction maxima, low angle first, 10° ≤ 2θ ≤ 90°:
| d/Å | I/Imax |
| --- | --- |
| 3.033 | 63.6 |
| 3.014 | 100.0 |
| 2.877 | 9.4 |
| 2.318 | 20.8 |
| 2.168 | 36.8 |
| 2.109 | 38.2 |
| 1.984 | 11.4 |
| 1.881 | 9.8 |
| 1.805 | 10.8 |
| 1.660 | 14.1 |

Lattice parameters (Å, degrees): 7.1145 7.1145 7.4823 98.27 98.27 113.54
Fractional positions:
Pr1 0.0385 0.3990 0.7215
Pr2 0.2012 0.2012 0.2235
Pr3 0.3990 0.0385 0.7215
Pr4 0.6010 0.9615 0.2785
Pr5 0.7988 0.7988 0.7765
Pr6 0.9615 0.6010 0.2785
Pd1 0.0000 0.0000 0.5000
Pd2 0.1940 0.8060 0.0000
Pd3 0.3709 0.6291 0.5000
Pd4 0.6291 0.3709 0.5000
Pd5 0.8060 0.1940 0.0000
Pb1 0.5000 0.5000 0.0000

---

The following is a computed powder XRD pattern of Pd6Pt23Pb. It was derived from a crystal structure in Alexandria, relaxed with GGA-PBE, using λ = 1.5418 Å (Cu Kα).
Intensities are scaled so that the largest is 100.

Largest 10 diffraction maxima, low angle first, 10° ≤ 2θ ≤ 90°:
| d/Å | I/Imax |
| --- | --- |
| 3.937 | 3.0 |
| 3.531 | 9.2 |
| 2.278 | 100.0 |
| 1.975 | 33.0 |
| 1.968 | 15.8 |
| 1.397 | 10.7 |
| 1.394 | 20.6 |
| 1.191 | 25.3 |
| 1.187 | 11.9 |
| 1.139 | 10.9 |

Lattice parameters (Å, degrees): 9.6527 9.6527 9.6527 131.68 131.68 70.73
Fractional positions:
Pd1 0.2486 0.2486 0.0000
Pd2 0.2511 0.2511 0.5023
Pd3 0.2511 0.7489 0.0000
Pd4 0.7489 0.2511 0.0000
Pd5 0.7489 0.7489 0.4977
Pd6 0.7514 0.7514 0.0000
Pt1 0.0000 0.0000 0.5000
Pt2 0.0000 0.5000 0.0000
Pt3 0.0000 0.5000 0.5000
Pt4 0.1202 0.3716 0.7486
Pt5 0.1299 0.8685 0.2614
Pt6 0.1315 0.3929 0.2614
Pt7 0.1315 0.8701 0.7386
Pt8 0.3716 0.1202 0.7486
Pt9 0.3716 0.6230 0.2514
Pt10 0.3770 0.6284 0.7486
Pt11 0.3929 0.1315 0.2614
Pt12 0.5000 0.0000 0.0000
Pt13 0.5000 0.0000 0.5000
Pt14 0.5000 0.5000 0.0000
Pt15 0.5000 0.5000 0.5000
Pt16 0.6071 0.8685 0.7386
Pt17 0.6230 0.3716 0.2514
Pt18 0.6284 0.3770 0.7486
Pt19 0.6284 0.8798 0.2514
Pt20 0.8685 0.1299 0.2614
Pt21 0.8685 0.6071 0.7386
Pt22 0.8701 0.1315 0.7386
Pt23 0.8798 0.6284 0.2514
Pb1 0.0000 0.0000 0.0000